# Nb2AlO4
Simulated XRD peak list, copper Kα. Input: a cell relaxed with GGA-PBE.
Neutral-atom scattering factors, no anomalous dispersion.

Cell and atoms:
```
Nb2AlO4
1.0
0.0000 4.2729 4.2729
4.2729 0.0000 4.2729
4.2729 4.2729 0.0000
Nb Al O
4 2 8
direct
0.0000 0.0000 0.0000
0.0000 0.0000 0.5000
0.0000 0.5000 0.0000
0.5000 0.0000 0.0000
0.3750 0.3750 0.3750
0.6250 0.6250 0.6250
0.2576 0.2576 0.2576
0.2576 0.2576 0.7272
0.2576 0.7272 0.2576
0.2728 0.7424 0.7424
0.7272 0.2576 0.2576
0.7424 0.2728 0.7424
0.7424 0.7424 0.2728
0.7424 0.7424 0.7424
```

Top 10 peaks for 5° ≤ 2θ ≤ 70°, sorted by position:
two_theta	d_spacing	intensity
17.98	4.934	66
29.57	3.021	4
34.82	2.577	100
36.42	2.467	34
42.30	2.136	54
46.31	1.961	23
52.46	1.744	2
55.91	1.645	30
61.37	1.511	50
64.51	1.444	12